Structure and computed PXRD pattern of Ge3As4 (a structure optimized by DFT (GGA-PBE); a wavelength of 1.5418 Å).

Structural model:
Cell: 5.5165 5.5165 5.5165 Å, 90.00 90.00 90.00°
Atoms (fractional coordinates):
Ge 0.0000 0.0000 0.5000
Ge 0.0000 0.5000 0.0000
Ge 0.5000 0.0000 0.0000
As 0.2820 0.2820 0.7180
As 0.2820 0.7180 0.2820
As 0.7180 0.2820 0.2820
As 0.7180 0.7180 0.7180

Peak list (12 most intense, 10 to 80 degrees two-theta, by intensity)
2θ (°)  Rel. int.
28.01  100
46.56  64
55.22  34
36.42  19
40.04  18
75.06  13
67.97  8
49.57  8
70.37  8
22.80  7
72.73  7
63.05  5



Structure and computed PXRD pattern of Ge3As (a structure optimized by DFT (GGA-PBE); a wavelength of 1.5418 Å).

Structural model:
Cell: 6.7461 6.7461 6.7461 Å, 90.00 90.00 90.00°
Atoms (fractional coordinates):
Ge 0.0000 0.0000 0.0000
Ge 0.0000 0.5000 0.5000
Ge 0.2500 0.2500 0.2500
Ge 0.2500 0.2500 0.7500
Ge 0.2500 0.7500 0.2500
Ge 0.2500 0.7500 0.7500
Ge 0.5000 0.0000 0.5000
Ge 0.5000 0.5000 0.0000
Ge 0.7500 0.2500 0.2500
Ge 0.7500 0.2500 0.7500
Ge 0.7500 0.7500 0.2500
Ge 0.7500 0.7500 0.7500
As 0.0000 0.0000 0.5000
As 0.0000 0.5000 0.0000
As 0.5000 0.0000 0.0000
As 0.5000 0.5000 0.5000

Peak list (3 most intense, 10 to 80 degrees two-theta, by intensity)
2θ (°)  Rel. int.
37.72  100
68.09  34
54.40  17



Structure and computed PXRD pattern of GeAs (a structure optimized by DFT (GGA-PBE); a wavelength of 1.5418 Å).

Structural model:
Cell: 6.6031 3.8204 9.1879 Å, 90.00 110.44 90.00°
Atoms (fractional coordinates):
Ge 0.0000 0.0000 0.0000
Ge 0.1405 0.0000 0.2892
Ge 0.5000 0.5000 0.0000
Ge 0.6405 0.5000 0.2892
As 0.1018 0.5000 0.8669
As 0.3716 0.5000 0.4223
As 0.6018 0.0000 0.8669
As 0.8716 0.0000 0.4223

Peak list (12 most intense, 10 to 80 degrees two-theta, by intensity)
2θ (°)  Rel. int.
20.63  100
27.47  87
10.27  62
31.14  53
45.86  49
31.29  49
46.11  49
47.95  38
27.01  36
48.05  31
47.60  30
50.34  18



Structure and computed PXRD pattern of Ge2As3 (a structure optimized by DFT (GGA-PBE); a wavelength of 1.5418 Å).

Structural model:
Cell: 6.5557 6.5557 6.4698 Å, 99.27 99.27 116.59°
Atoms (fractional coordinates):
Ge 0.0939 0.9061 0.5000
Ge 0.2786 0.7650 0.0091
Ge 0.7650 0.2786 0.5091
Ge 0.9061 0.0939 0.0000
As 0.1035 0.2568 0.3942
As 0.2568 0.1035 0.8942
As 0.4365 0.8550 0.4251
As 0.5467 0.7100 0.7988
As 0.7100 0.5467 0.2988
As 0.8550 0.4365 0.9251

Peak list (12 most intense, 10 to 80 degrees two-theta, by intensity)
2θ (°)  Rel. int.
29.18  100
27.19  44
46.52  39
29.00  33
48.82  22
46.21  15
33.23  14
49.00  14
38.38  14
54.55  12
55.10  11
36.74  11



Structure and computed PXRD pattern of GeAs (a structure optimized by DFT (GGA-PBE); a wavelength of 1.5418 Å).

Structural model:
Cell: 6.6363 3.8320 8.4609 Å, 90.00 105.36 90.00°
Atoms (fractional coordinates):
Ge 0.0511 0.0000 0.1517
Ge 0.4489 0.5000 0.8483
Ge 0.5511 0.5000 0.1517
Ge 0.9489 0.0000 0.8483
As 0.2352 0.0000 0.7090
As 0.2648 0.5000 0.2910
As 0.7352 0.5000 0.7090
As 0.7648 0.0000 0.2910

Peak list (12 most intense, 10 to 80 degrees two-theta, by intensity)
2θ (°)  Rel. int.
30.65  100
27.12  93
47.46  75
21.79  74
46.12  37
37.39  35
49.27  34
52.76  27
10.84  24
46.00  19
49.40  17
37.29  17



Structure and computed PXRD pattern of GeAs2H2 (a structure optimized by DFT (GGA-PBE); a wavelength of 1.5418 Å).

Structural model:
Cell: 6.5932 4.0335 5.8374 Å, 90.00 105.87 90.00°
Atoms (fractional coordinates):
Ge 0.0000 0.0000 0.0000
Ge 0.5000 0.5000 0.0000
As 0.2123 0.5000 0.3162
As 0.2877 0.0000 0.6838
As 0.7123 0.0000 0.3162
As 0.7877 0.5000 0.6838
H 0.0248 0.5000 0.6933
H 0.4752 0.0000 0.3067
H 0.5248 0.0000 0.6933
H 0.9752 0.5000 0.3067

Peak list (12 most intense, 10 to 80 degrees two-theta, by intensity)
2θ (°)  Rel. int.
32.71  100
38.46  56
28.29  53
48.64  34
44.95  21
53.95  19
77.26  15
48.86  15
47.31  14
68.39  12
68.55  10
36.49  9



Structure and computed PXRD pattern of RbGeAsHSe (a structure optimized by DFT (GGA-PBE); a wavelength of 1.5418 Å).

Structural model:
Cell: 4.0012 4.9168 7.3131 Å, 89.04 75.00 89.93°
Atoms (fractional coordinates):
Rb 0.0000 0.0000 0.0000
Ge 0.2118 0.5116 0.5665
As 0.3043 0.0144 0.4443
H 0.9373 0.0161 0.4101
Se 0.5969 0.5051 0.7946

Peak list (12 most intense, 10 to 80 degrees two-theta, by intensity)
2θ (°)  Rel. int.
29.50  100
12.53  78
36.56  77
29.07  71
22.21  64
21.85  58
45.33  47
34.60  43
30.92  39
29.39  38
25.22  37
59.59  35



Structure and computed PXRD pattern of Ge2AsI (a structure optimized by DFT (GGA-PBE); a wavelength of 1.5418 Å).

Structural model:
Cell: 4.2224 4.2224 24.3021 Å, 90.00 90.00 120.00°
Atoms (fractional coordinates):
Ge 0.0000 0.0000 0.1162
Ge 0.0000 0.0000 0.8838
Ge 0.3333 0.6667 0.5505
Ge 0.3333 0.6667 0.7829
Ge 0.6667 0.3333 0.2171
Ge 0.6667 0.3333 0.4495
As 0.0000 0.0000 0.5000
As 0.3333 0.6667 0.1667
As 0.6667 0.3333 0.8333
I 0.0000 0.0000 0.0000
I 0.3333 0.6667 0.6667
I 0.6667 0.3333 0.3333

Peak list (12 most intense, 10 to 80 degrees two-theta, by intensity)
2θ (°)  Rel. int.
25.44  100
38.53  79
42.83  63
24.62  58
44.78  36
58.96  24
21.94  24
75.58  22
55.22  20
48.63  16
50.48  15
63.69  14



Structure and computed PXRD pattern of Rb2InGe4As7 (a structure optimized by DFT (GGA-PBE); a wavelength of 1.5418 Å).

Structural model:
Cell: 8.7383 8.7383 12.6462 Å, 90.27 90.27 25.71°
Atoms (fractional coordinates):
Rb 0.0000 0.0000 0.0000
Rb 0.5315 0.5315 0.5284
In 0.7993 0.7993 0.5823
Ge 0.2391 0.2391 0.8060
Ge 0.2986 0.2986 0.3001
Ge 0.7398 0.7398 0.0697
Ge 0.9253 0.9253 0.7155
As 0.1527 0.1527 0.3173
As 0.1933 0.1933 0.6205
As 0.3270 0.3270 0.1077
As 0.3833 0.3833 0.8307
As 0.6247 0.6247 0.1962
As 0.6715 0.6715 0.8960
As 0.8637 0.8637 0.3833

Peak list (12 most intense, 10 to 80 degrees two-theta, by intensity)
2θ (°)  Rel. int.
28.71  100
10.38  72
31.75  47
30.16  35
49.48  31
44.50  29
46.73  29
27.44  29
22.03  28
25.15  21
50.81  18
25.27  17



Structure and computed PXRD pattern of Pr2GeAs3Ir4 (a structure optimized by DFT (GGA-PBE); a wavelength of 1.5418 Å).

Structural model:
Cell: 4.2755 4.2755 10.2524 Å, 90.00 90.00 90.00°
Atoms (fractional coordinates):
Pr 0.0000 0.5000 0.2475
Pr 0.5000 0.0000 0.7525
Ge 0.5000 0.5000 0.0000
As 0.0000 0.0000 0.0000
As 0.0000 0.5000 0.6380
As 0.5000 0.0000 0.3620
Ir 0.0000 0.0000 0.5000
Ir 0.0000 0.5000 0.8761
Ir 0.5000 0.0000 0.1239
Ir 0.5000 0.5000 0.5000

Peak list (12 most intense, 10 to 80 degrees two-theta, by intensity)
2θ (°)  Rel. int.
34.44  100
42.28  74
33.57  62
46.45  37
55.03  31
30.84  30
61.33  25
49.29  25
72.27  23
66.91  20
62.43  15
27.16  12



Structure and computed PXRD pattern of K3Ge5As2 (a structure optimized by DFT (GGA-PBE); a wavelength of 1.5418 Å).

Structural model:
Cell: 9.6763 9.6763 9.6763 Å, 108.65 85.36 139.56°
Atoms (fractional coordinates):
K 0.1258 0.7430 0.8689
K 0.2500 0.2500 0.0000
K 0.3742 0.2430 0.6172
K 0.6258 0.7570 0.3828
K 0.7500 0.7500 0.0000
K 0.8742 0.2570 0.1311
Ge 0.0078 0.7500 0.2578
Ge 0.1200 0.3844 0.5044
Ge 0.2500 0.7500 0.5000
Ge 0.3800 0.8844 0.2644
Ge 0.4922 0.7500 0.7422
Ge 0.5078 0.2500 0.2578
Ge 0.6200 0.1156 0.7356
Ge 0.7500 0.2500 0.5000
Ge 0.8800 0.6156 0.4956
Ge 0.9922 0.2500 0.7422
As 0.1601 0.1386 0.2987
As 0.3399 0.6386 0.9786
As 0.6601 0.3614 0.0214
As 0.8399 0.8614 0.7013

Peak list (12 most intense, 10 to 80 degrees two-theta, by intensity)
2θ (°)  Rel. int.
36.89  100
30.01  76
29.69  61
31.09  58
41.89  46
19.85  42
40.82  41
15.70  37
10.00  32
44.22  27
49.19  21
54.91  18



Structure and computed PXRD pattern of K2NaGeAs2 (a structure optimized by DFT (GGA-PBE); a wavelength of 1.5418 Å).

Structural model:
Cell: 8.9856 8.9856 8.9856 Å, 135.10 64.49 136.25°
Atoms (fractional coordinates):
K 0.1744 0.2463 0.4208
K 0.3256 0.7463 0.0719
K 0.6744 0.2537 0.9281
K 0.8256 0.7537 0.5792
Na 0.2500 0.2500 0.0000
Na 0.7500 0.7500 0.0000
Ge 0.2500 0.7500 0.5000
Ge 0.7500 0.2500 0.5000
As 0.0972 0.7104 0.8076
As 0.4028 0.2104 0.6133
As 0.5972 0.7896 0.3867
As 0.9028 0.2896 0.1924

Peak list (12 most intense, 10 to 80 degrees two-theta, by intensity)
2θ (°)  Rel. int.
30.01  100
37.53  89
11.64  82
14.16  65
35.75  61
35.24  56
21.93  38
51.76  26
65.96  25
49.17  23
26.63  21
28.54  19



Structure and computed PXRD pattern of K2Rb4GeAs2 (a structure optimized by DFT (GGA-PBE); a wavelength of 1.5418 Å).

Structural model:
Cell: 9.3940 9.3940 5.1854 Å, 105.94 105.94 71.34°
Atoms (fractional coordinates):
K 0.1483 0.1483 0.1491
K 0.8517 0.8517 0.8509
Rb 0.1716 0.5667 0.3688
Rb 0.4333 0.8284 0.6312
Rb 0.5667 0.1716 0.3688
Rb 0.8284 0.4333 0.6312
Ge 0.5000 0.5000 0.0000
As 0.3104 0.3104 0.8102
As 0.6896 0.6896 0.1898

Peak list (12 most intense, 10 to 80 degrees two-theta, by intensity)
2θ (°)  Rel. int.
24.44  100
10.15  67
30.19  54
29.93  42
34.60  32
31.38  27
51.97  26
35.73  23
24.79  19
29.75  18
39.93  15
32.69  14



Structure and computed PXRD pattern of K2GeAsS4 (a structure optimized by DFT (GGA-PBE); a wavelength of 1.5418 Å).

Structural model:
Cell: 7.5089 7.5089 7.7180 Å, 90.00 90.00 90.00°
Atoms (fractional coordinates):
K 0.0000 0.0000 0.0000
K 0.0000 0.5000 0.2500
K 0.5000 0.0000 0.7500
K 0.5000 0.5000 0.5000
Ge 0.0000 0.5000 0.7500
Ge 0.5000 0.0000 0.2500
As 0.0000 0.0000 0.5000
As 0.5000 0.5000 0.0000
S 0.1486 0.7001 0.5868
S 0.2001 0.3514 0.9132
S 0.2999 0.1486 0.4132
S 0.3514 0.7999 0.0868
S 0.6486 0.2001 0.0868
S 0.7001 0.8514 0.4132
S 0.7999 0.6486 0.9132
S 0.8514 0.2999 0.5868

Peak list (12 most intense, 10 to 80 degrees two-theta, by intensity)
2θ (°)  Rel. int.
28.60  100
44.82  64
16.47  47
33.76  39
23.70  35
29.00  23
53.39  21
54.66  19
68.16  13
78.26  12
76.11  10
59.20  10